# CaAg5Hg7
Computed X-ray powder pattern, Cu Kα (weighted mean of Kα1 and Kα2). Input: a PBE-relaxed structure.
No peak broadening, texture or thermal motion is included.

```
data_CaAg5Hg7
_cell_length_a 5.754
_cell_length_b 10.215
_cell_length_c 9.888
_cell_angle_alpha 90.00
_cell_angle_beta 90.00
_cell_angle_gamma 90.00
_symmetry_space_group_name_H-M 'I m m 2'
_symmetry_Int_Tables_number 44
loop_
_symmetry_equiv_pos_as_xyz
'x,y,z'
'-x,-y,z'
'-x,y,z'
'x,-y,z'
'x+1/2,y+1/2,z+1/2'
'-x+1/2,-y+1/2,z+1/2'
'-x+1/2,y+1/2,z+1/2'
'x+1/2,-y+1/2,z+1/2'
loop_
_atom_site_label
_atom_site_type_symbol
_atom_site_fract_x
_atom_site_fract_y
_atom_site_fract_z
_atom_site_occupancy
Ca1 Ca 0.000 0.000 0.000 1
Ag1 Ag 0.000 0.500 0.249 1
Ag2 Ag 0.249 0.248 0.747 1
Hg1 Hg 0.000 0.000 0.356 1
Hg2 Hg 0.000 0.000 0.661 1
Hg3 Hg 0.000 0.323 0.000 1
Hg4 Hg 0.000 0.328 0.492 1
Hg5 Hg 0.000 0.500 0.743 1
```

Main lines, most intense first (10° ≤ 2θ ≤ 90°):
2θ/deg	d_spacing	Rel. int.
40.34	2.236	100
35.61	2.521	83
30.51	2.930	51
40.70	2.217	49
64.89	1.437	44
39.72	2.269	39
31.09	2.877	35
36.34	2.472	33


# Ca3Ag7Hg2
Computed X-ray powder pattern, Cu Kα (weighted mean of Kα1 and Kα2). Input: a PBE-relaxed structure.
No peak broadening, texture or thermal motion is included.

```
data_Ca3Ag7Hg2
_cell_length_a 5.7564
_cell_length_b 5.7564
_cell_length_c 28.4365
_cell_angle_alpha 90.00
_cell_angle_beta 90.00
_cell_angle_gamma 120.00
_symmetry_space_group_name_H-M 'R -3 m'
_symmetry_Int_Tables_number 166
_symmetry_space_group_name_Hall '-R 3 2"'
loop_
_atom_site_label
_atom_site_type_symbol
_atom_site_fract_x
_atom_site_fract_y
_atom_site_fract_z
_atom_site_occupancy
Ca1 Ca 0.0000 0.0000 0.0000 1
Ca2 Ca 0.0000 0.0000 0.1411 1
Ag1 Ag 0.0000 0.0000 0.5000 1
Ag2 Ag 0.0035 0.5017 0.9139 1
Hg1 Hg 0.0000 0.0000 0.3333 1
```

Main lines, most intense first (10° ≤ 2θ ≤ 90°):
2θ/deg	d_spacing	Rel. int.
36.53	2.460	100
18.07	4.910	64
39.47	2.283	46
42.54	2.125	31
37.97	2.370	29
58.89	1.568	23
64.78	1.439	21
77.62	1.230	21


# Ca4Ag3Hg
Computed X-ray powder pattern, Cu Kα (weighted mean of Kα1 and Kα2). Input: a PBE-relaxed structure.
No peak broadening, texture or thermal motion is included.

```
data_Ca4Ag3Hg
_cell_length_a 3.736
_cell_length_b 3.736
_cell_length_c 14.921
_cell_angle_alpha 90.00
_cell_angle_beta 90.00
_cell_angle_gamma 90.00
_symmetry_space_group_name_H-M 'P 4/m m m'
_symmetry_Int_Tables_number 123
_symmetry_space_group_name_Hall '-P 4 2'
loop_
_atom_site_label
_atom_site_type_symbol
_atom_site_fract_x
_atom_site_fract_y
_atom_site_fract_z
_atom_site_occupancy
Ca1 Ca 0.000 0.000 0.123 1
Ca2 Ca 0.000 0.000 0.372 1
Ag1 Ag 0.500 0.500 0.000 1
Ag2 Ag 0.500 0.500 0.247 1
Hg1 Hg 0.500 0.500 0.500 1
```

Main lines, most intense first (10° ≤ 2θ ≤ 90°):
2θ/deg	d_spacing	Rel. int.
33.95	2.640	100
60.76	1.524	35
23.83	3.734	33
48.78	1.867	17
54.99	1.670	14
71.46	1.320	11
41.91	2.156	10
81.48	1.181	10


# CaAg2Hg4
Computed X-ray powder pattern, Cu Kα (weighted mean of Kα1 and Kα2). Input: a PBE-relaxed structure.
No peak broadening, texture or thermal motion is included.

```
data_CaAg2Hg4
_cell_length_a 4.870
_cell_length_b 4.870
_cell_length_c 7.253
_cell_angle_alpha 90.00
_cell_angle_beta 90.00
_cell_angle_gamma 90.00
_symmetry_space_group_name_H-M 'P 4/m m m'
_symmetry_Int_Tables_number 123
_symmetry_space_group_name_Hall '-P 4 2'
loop_
_atom_site_label
_atom_site_type_symbol
_atom_site_fract_x
_atom_site_fract_y
_atom_site_fract_z
_atom_site_occupancy
Ca1 Ca 0.000 0.000 0.000 1
Ag1 Ag 0.000 0.000 0.500 1
Ag2 Ag 0.500 0.500 0.000 1
Hg1 Hg 0.000 0.500 0.279 1
```

Main lines, most intense first (10° ≤ 2θ ≤ 90°):
2θ/deg	d_spacing	Rel. int.
35.96	2.497	100
36.91	2.435	52
65.89	1.418	34
25.87	3.444	31
53.19	1.722	18
24.55	3.626	14
64.02	1.454	13
44.83	2.022	13


# CaAg2Hg
Computed X-ray powder pattern, Cu Kα (weighted mean of Kα1 and Kα2). Input: a PBE-relaxed structure.
No peak broadening, texture or thermal motion is included.

```
data_CaAg2Hg
_cell_length_a 3.557
_cell_length_b 4.881
_cell_length_c 5.634
_cell_angle_alpha 90.00
_cell_angle_beta 90.26
_cell_angle_gamma 90.00
_symmetry_space_group_name_H-M 'P 1 2/m 1'
_symmetry_Int_Tables_number 10
loop_
_symmetry_equiv_pos_as_xyz
'x,y,z'
'-x,-y,-z'
'-x,y,-z'
'x,-y,z'
loop_
_atom_site_label
_atom_site_type_symbol
_atom_site_fract_x
_atom_site_fract_y
_atom_site_fract_z
_atom_site_occupancy
Ca1 Ca 0.000 0.000 0.000 1
Ag1 Ag 0.498 0.500 0.757 1
Hg1 Hg 0.500 0.000 0.500 1
```

Main lines, most intense first (10° ≤ 2θ ≤ 90°):
2θ/deg	d_spacing	Rel. int.
36.83	2.440	100
25.03	3.557	61
45.01	2.014	51
45.14	2.008	25
24.12	3.689	25
15.73	5.634	25
34.99	2.564	23
35.10	2.557	22


# Ca2AgHg6
Computed X-ray powder pattern, Cu Kα (weighted mean of Kα1 and Kα2). Input: a PBE-relaxed structure.
No peak broadening, texture or thermal motion is included.

```
data_Ca2AgHg6
_cell_length_a 3.615
_cell_length_b 8.241
_cell_length_c 15.759
_cell_angle_alpha 90.00
_cell_angle_beta 90.00
_cell_angle_gamma 90.00
_symmetry_space_group_name_H-M 'I m m m'
_symmetry_Int_Tables_number 71
_symmetry_space_group_name_Hall '-I 2 2'
loop_
_atom_site_label
_atom_site_type_symbol
_atom_site_fract_x
_atom_site_fract_y
_atom_site_fract_z
_atom_site_occupancy
Ca1 Ca 0.000 0.000 0.134 1
Ag1 Ag 0.000 0.500 0.000 1
Hg1 Hg 0.000 0.175 0.324 1
Hg2 Hg 0.000 0.292 0.500 1
```

Main lines, most intense first (10° ≤ 2θ ≤ 90°):
2θ/deg	d_spacing	Rel. int.
36.93	2.434	100
33.46	2.678	88
34.14	2.627	66
25.27	3.524	58
37.87	2.376	51
43.99	2.058	48
29.26	3.052	47
21.57	4.121	46


# Ca5Ag4Hg
Computed X-ray powder pattern, Cu Kα (weighted mean of Kα1 and Kα2). Input: a PBE-relaxed structure.
No peak broadening, texture or thermal motion is included.

```
data_Ca5Ag4Hg
_cell_length_a 3.751
_cell_length_b 3.751
_cell_length_c 18.404
_cell_angle_alpha 90.00
_cell_angle_beta 90.00
_cell_angle_gamma 90.00
_symmetry_space_group_name_H-M 'P 4/m m m'
_symmetry_Int_Tables_number 123
_symmetry_space_group_name_Hall '-P 4 2'
loop_
_atom_site_label
_atom_site_type_symbol
_atom_site_fract_x
_atom_site_fract_y
_atom_site_fract_z
_atom_site_occupancy
Ca1 Ca 0.000 0.000 0.000 1
Ca2 Ca 0.000 0.000 0.197 1
Ca3 Ca 0.000 0.000 0.397 1
Ag1 Ag 0.500 0.500 0.099 1
Ag2 Ag 0.500 0.500 0.296 1
Hg1 Hg 0.500 0.500 0.500 1
```

Main lines, most intense first (10° ≤ 2θ ≤ 90°):
2θ/deg	d_spacing	Rel. int.
34.13	2.627	100
33.79	2.653	51
60.66	1.527	35
23.72	3.751	32
48.53	1.876	18
24.18	3.680	17
61.30	1.512	17
41.98	2.152	15


# CaAg2Hg6
Computed X-ray powder pattern, Cu Kα (weighted mean of Kα1 and Kα2). Input: a PBE-relaxed structure.
No peak broadening, texture or thermal motion is included.

```
data_CaAg2Hg6
_cell_length_a 11.914
_cell_length_b 6.250
_cell_length_c 6.128
_cell_angle_alpha 90.00
_cell_angle_beta 98.81
_cell_angle_gamma 90.00
_symmetry_space_group_name_H-M 'C 1 2/m 1'
_symmetry_Int_Tables_number 12
loop_
_symmetry_equiv_pos_as_xyz
'x,y,z'
'-x,-y,-z'
'-x,y,-z'
'x,-y,z'
'x+1/2,y+1/2,z'
'-x+1/2,-y+1/2,-z'
'-x+1/2,y+1/2,-z'
'x+1/2,-y+1/2,z'
loop_
_atom_site_label
_atom_site_type_symbol
_atom_site_fract_x
_atom_site_fract_y
_atom_site_fract_z
_atom_site_occupancy
Ca1 Ca 0.000 0.000 0.000 1
Ag1 Ag 0.091 0.500 0.883 1
Hg1 Hg 0.000 0.240 0.500 1
Hg2 Hg 0.220 0.253 0.254 1
```

Main lines, most intense first (10° ≤ 2θ ≤ 90°):
2θ/deg	d_spacing	Rel. int.
35.35	2.539	100
42.71	2.117	97
31.70	2.823	88
36.74	2.446	77
28.56	3.125	74
42.18	2.143	72
31.08	2.878	66
30.37	2.943	57


# Ca4AgHgN
Computed X-ray powder pattern, Cu Kα (weighted mean of Kα1 and Kα2). Input: a PBE-relaxed structure.
No peak broadening, texture or thermal motion is included.

```
data_Ca4AgHgN
_cell_length_a 6.854
_cell_length_b 15.690
_cell_length_c 6.822
_cell_angle_alpha 90.00
_cell_angle_beta 90.00
_cell_angle_gamma 90.00
_symmetry_space_group_name_H-M 'C m c m'
_symmetry_Int_Tables_number 63
_symmetry_space_group_name_Hall '-C 2c 2'
loop_
_atom_site_label
_atom_site_type_symbol
_atom_site_fract_x
_atom_site_fract_y
_atom_site_fract_z
_atom_site_occupancy
Ca1 Ca 0.000 0.090 0.250 1
Ca2 Ca 0.000 0.408 0.250 1
Ca3 Ca 0.250 0.250 0.000 1
Ag1 Ag 0.000 0.110 0.750 1
Hg1 Hg 0.000 0.394 0.750 1
N1 N 0.000 0.250 0.250 1
```

Main lines, most intense first (10° ≤ 2θ ≤ 90°):
2θ/deg	d_spacing	Rel. int.
34.81	2.577	100
37.19	2.418	62
25.08	3.550	61
19.21	4.621	44
26.13	3.411	35
26.00	3.427	34
65.44	1.426	31
51.47	1.775	27


# Sr2CaAgHg6
Computed X-ray powder pattern, Cu Kα (weighted mean of Kα1 and Kα2). Input: a PBE-relaxed structure.
No peak broadening, texture or thermal motion is included.

```
data_Sr2CaAgHg6
_cell_length_a 11.179
_cell_length_b 11.179
_cell_length_c 11.179
_cell_angle_alpha 90.00
_cell_angle_beta 90.00
_cell_angle_gamma 90.00
_symmetry_space_group_name_H-M 'F m -3 m'
_symmetry_Int_Tables_number 225
_symmetry_space_group_name_Hall '-F 4 2 3'
loop_
_atom_site_label
_atom_site_type_symbol
_atom_site_fract_x
_atom_site_fract_y
_atom_site_fract_z
_atom_site_occupancy
Sr1 Sr 0.250 0.250 0.250 1
Ca1 Ca 0.000 0.000 0.000 1
Ag1 Ag 0.000 0.000 0.500 1
Hg1 Hg 0.000 0.000 0.257 1
```

Main lines, most intense first (10° ≤ 2θ ≤ 90°):
2θ/deg	d_spacing	Rel. int.
27.64	3.227	100
32.02	2.795	82
45.92	1.976	60
54.44	1.685	47
76.16	1.250	27
15.85	5.590	27
57.08	1.614	21
85.01	1.141	21


# CaYAgHg
Computed X-ray powder pattern, Cu Kα (weighted mean of Kα1 and Kα2). Input: a PBE-relaxed structure.
No peak broadening, texture or thermal motion is included.

```
data_CaYAgHg
_cell_length_a 3.699
_cell_length_b 3.699
_cell_length_c 7.504
_cell_angle_alpha 90.00
_cell_angle_beta 90.00
_cell_angle_gamma 90.00
_symmetry_space_group_name_H-M 'P 4 m m'
_symmetry_Int_Tables_number 99
loop_
_symmetry_equiv_pos_as_xyz
'x,y,z'
'-y,x,z'
'-x,-y,z'
'y,-x,z'
'-x,y,z'
'y,x,z'
'x,-y,z'
'-y,-x,z'
loop_
_atom_site_label
_atom_site_type_symbol
_atom_site_fract_x
_atom_site_fract_y
_atom_site_fract_z
_atom_site_occupancy
Ca1 Ca 0.000 0.000 0.000 1
Y1 Y 0.000 0.000 0.488 1
Ag1 Ag 0.500 0.500 0.261 1
Hg1 Hg 0.500 0.500 0.734 1
```

Main lines, most intense first (10° ≤ 2θ ≤ 90°):
2θ/deg	d_spacing	Rel. int.
34.03	2.634	100
34.28	2.616	50
61.23	1.514	36
24.06	3.699	19
49.26	1.850	18
11.79	7.504	17
60.76	1.524	17
71.65	1.317	10


# CaHo4Ag4
Computed X-ray powder pattern, Cu Kα (weighted mean of Kα1 and Kα2). Input: a PBE-relaxed structure.
No peak broadening, texture or thermal motion is included.

```
data_CaHo4Ag4
_cell_length_a 9.664
_cell_length_b 9.664
_cell_length_c 5.704
_cell_angle_alpha 90.00
_cell_angle_beta 90.00
_cell_angle_gamma 90.00
_symmetry_space_group_name_H-M 'P 42/n'
_symmetry_Int_Tables_number 86
loop_
_symmetry_equiv_pos_as_xyz
'x,y,z'
'-x,-y,-z'
'-y,x+1/2,z+1/2'
'y,-x+1/2,-z+1/2'
'-x+1/2,-y+1/2,z'
'x+1/2,y+1/2,-z'
'y+1/2,-x,z+1/2'
'-y+1/2,x,-z+1/2'
loop_
_atom_site_label
_atom_site_type_symbol
_atom_site_fract_x
_atom_site_fract_y
_atom_site_fract_z
_atom_site_occupancy
Ca1 Ca 0.250 0.250 0.250 1
Ho1 Ho 0.099 0.659 0.157 1
Ag1 Ag 0.028 0.608 0.656 1
```

Main lines, most intense first (10° ≤ 2θ ≤ 90°):
2θ/deg	d_spacing	Rel. int.
29.22	3.056	100
12.96	6.833	86
32.74	2.735	65
37.06	2.426	55
42.33	2.135	34
41.80	2.161	28
46.50	1.953	24
41.66	2.168	22


# CaAg2IO6
Computed X-ray powder pattern, Cu Kα (weighted mean of Kα1 and Kα2). Input: a PBE-relaxed structure.
No peak broadening, texture or thermal motion is included.

```
data_CaAg2IO6
_cell_length_a 5.625
_cell_length_b 5.852
_cell_length_c 9.918
_cell_angle_alpha 90.00
_cell_angle_beta 124.07
_cell_angle_gamma 90.00
_symmetry_space_group_name_H-M 'P 1 21/c 1'
_symmetry_Int_Tables_number 14
loop_
_symmetry_equiv_pos_as_xyz
'x,y,z'
'-x,-y,-z'
'-x,y+1/2,-z+1/2'
'x,-y+1/2,z+1/2'
loop_
_atom_site_label
_atom_site_type_symbol
_atom_site_fract_x
_atom_site_fract_y
_atom_site_fract_z
_atom_site_occupancy
Ca1 Ca 0.000 0.000 0.000 1
Ag1 Ag 0.245 0.055 0.732 1
I1 I 0.500 0.000 0.500 1
O1 O 0.161 0.073 0.286 1
O2 O 0.281 0.690 0.046 1
O3 O 0.414 0.246 0.087 1
```

Main lines, most intense first (10° ≤ 2θ ≤ 90°):
2θ/deg	d_spacing	Rel. int.
30.89	2.895	100
31.08	2.877	98
18.62	4.766	43
31.82	2.813	42
44.69	2.028	40
30.55	2.926	38
54.56	1.682	29
56.34	1.633	22


# CaAgI2O8
Computed X-ray powder pattern, Cu Kα (weighted mean of Kα1 and Kα2). Input: a PBE-relaxed structure.
No peak broadening, texture or thermal motion is included.

```
data_CaAgI2O8
_cell_length_a 7.570
_cell_length_b 7.570
_cell_length_c 6.883
_cell_angle_alpha 90.00
_cell_angle_beta 90.00
_cell_angle_gamma 90.00
_symmetry_space_group_name_H-M 'I -4 m 2'
_symmetry_Int_Tables_number 119
_symmetry_space_group_name_Hall 'I -4 -2'
loop_
_atom_site_label
_atom_site_type_symbol
_atom_site_fract_x
_atom_site_fract_y
_atom_site_fract_z
_atom_site_occupancy
Ca1 Ca 0.000 0.000 0.000 1
Ag1 Ag 0.000 0.500 0.250 1
I1 I 0.000 0.000 0.500 1
I2 I 0.000 0.500 0.750 1
O1 O 0.000 0.186 0.327 1
O2 O 0.000 0.309 0.918 1
```

Main lines, most intense first (10° ≤ 2θ ≤ 90°):
2θ/deg	d_spacing	Rel. int.
23.50	3.785	100
30.89	2.895	78
46.19	1.965	62
33.48	2.676	21
58.25	1.584	18
29.40	3.038	17
17.41	5.093	17
48.08	1.893	17